This entry pairs a crystal structure of Ac2MnCdO5 with its theoretical X-ray powder pattern. Radiation: copper Kα. Structure: a crystal structure in Alexandria, relaxed with PBE+U.

The 8 most intense peaks (2θ from 10° to 90°), in order of falling intensity:
29.05°, I 100, hkl 2 0 1
31.62°, I 77, hkl 2 1 1
41.74°, I 47, hkl 2 1 2
15.23°, I 44, hkl 0 0 1
27.55°, I 37, hkl 2 1 0
30.73°, I 35, hkl 0 0 2
54.59°, I 29, hkl 4 1 1
35.05°, I 22, hkl 2 2 0

Structural model:
abc: 7.2409 7.2409 5.8187
angles: 90.00 90.00 90.00
Space group P4/mbm (No. 127)
Unique sites:
Ac 0.1818 0.3182 0.0000
Mn 0.0000 0.5000 0.5000
Cd 0.0000 0.0000 0.5000
O 0.0000 0.0000 0.0000
O 0.1276 0.6276 0.2605